1.
Diffraction record for MgCr2P2O8. The powder diffractogram is calculated, not measured: it uses a GGA+U-relaxed structure and a wavelength of 1.5418 Å.
Peak positions follow from Bragg's law for the DFT cell and can differ from measured ones.

Principal peaks in the range 2θ from 10° to 90°, in order of rising 2θ:
hkl 0 0 2, d = 7.128 Å, rel. 92; hkl 1 1 -1, d = 4.786 Å, rel. 65; hkl 4 0 0, d = 3.835 Å, rel. 25; hkl 1 1 -3, d = 3.680 Å, rel. 31; hkl 3 1 1, d = 3.227 Å, rel. 100; hkl 6 0 -2, d = 2.917 Å, rel. 30; hkl 5 1 -3, d = 2.878 Å, rel. 95; hkl 3 1 -5, d = 2.758 Å, rel. 38; hkl 4 0 -6, d = 2.723 Å, rel. 27; hkl 2 0 -6, d = 2.682 Å, rel. 27; hkl 0 2 0, d = 2.528 Å, rel. 86; hkl 3 1 3, d = 2.477 Å, rel. 55

Crystal structure
```
data_MgCr2P2O8
_chemical_formula_sum 'Mg8 Cr16 P16 O64'
_cell_length_a 17.745
_cell_length_b 5.057
_cell_length_c 16.488
_cell_angle_alpha 90.00
_cell_angle_beta 120.16
_cell_angle_gamma 90.00
_symmetry_space_group_name_H-M 'C 1 2/c 1'
_symmetry_Int_Tables_number 15
_symmetry_space_group_name_Hall '-C 2yc'
loop_
_atom_site_label
_atom_site_type_symbol
_atom_site_fract_x
_atom_site_fract_y
_atom_site_fract_z
Mg1 Mg 0.140 0.214 0.125
Cr1 Cr 0.000 0.183 0.250
Cr2 Cr 0.101 0.236 0.469
Cr3 Cr 0.250 0.250 0.000
P1 P 0.017 0.291 0.607
P2 P 0.213 0.223 0.358
O1 O 0.026 0.399 0.120
O2 O 0.033 0.147 0.694
O3 O 0.077 0.249 0.979
O4 O 0.088 0.189 0.584
O5 O 0.125 0.232 0.358
O6 O 0.202 0.286 0.264
O7 O 0.226 0.076 0.563
O8 O 0.242 0.445 0.106
```



2.
Diffraction record for VPO5. The powder diffractogram is calculated, not measured: it uses a GGA+U-relaxed structure and a wavelength of 1.5418 Å.
Peak positions follow from Bragg's law for the DFT cell and can differ from measured ones.

Principal peaks in the range 2θ from 10° to 90°, in order of rising 2θ:
hkl 1 1 0, d = 4.846 Å, rel. 51; hkl 1 1 -1, d = 4.731 Å, rel. 45; hkl 0 2 0, d = 3.820 Å, rel. 31; hkl 1 1 1, d = 3.312 Å, rel. 22; hkl 0 2 1, d = 3.264 Å, rel. 31; hkl 1 1 -2, d = 3.203 Å, rel. 100; hkl 2 0 0, d = 3.134 Å, rel. 67; hkl 1 3 0, d = 2.359 Å, rel. 25; hkl 3 1 0, d = 2.015 Å, rel. 18; hkl 2 0 -4, d = 1.764 Å, rel. 14; hkl 0 4 2, d = 1.632 Å, rel. 13; hkl 3 3 0, d = 1.614 Å, rel. 26

Crystal structure
```
data_VPO5
_chemical_formula_sum 'V4 P4 O20'
_cell_length_a 7.051
_cell_length_b 7.640
_cell_length_c 7.065
_cell_angle_alpha 90.00
_cell_angle_beta 117.25
_cell_angle_gamma 90.00
_symmetry_space_group_name_H-M 'C 1 2/c 1'
_symmetry_Int_Tables_number 15
_symmetry_space_group_name_Hall '-C 2yc'
loop_
_atom_site_label
_atom_site_type_symbol
_atom_site_fract_x
_atom_site_fract_y
_atom_site_fract_z
V1 V 0.000 0.000 0.000
P1 P 0.000 0.357 0.250
O1 O 0.000 0.058 0.750
O2 O 0.030 0.240 0.085
O3 O 0.194 0.476 0.366
```



3.
Diffraction record for Li2Fe3CoO8. The powder diffractogram is calculated, not measured: it uses a GGA+U-relaxed structure and a wavelength of 1.5418 Å.
Peak positions follow from Bragg's law for the DFT cell and can differ from measured ones.

Principal peaks in the range 2θ from 10° to 90°, in order of rising 2θ:
hkl 1 1 1, d = 4.835 Å, rel. 100; hkl 3 1 1, d = 2.525 Å, rel. 49; hkl 2 2 2, d = 2.417 Å, rel. 12; hkl 4 0 0, d = 2.094 Å, rel. 56; hkl 3 3 1, d = 1.921 Å, rel. 11; hkl 5 1 1, d = 1.612 Å, rel. 20; hkl 4 4 0, d = 1.480 Å, rel. 33; hkl 5 3 1, d = 1.415 Å, rel. 14; hkl 5 3 3, d = 1.277 Å, rel. 5; hkl 6 2 2, d = 1.262 Å, rel. 7; hkl 4 4 4, d = 1.209 Å, rel. 9; hkl 5 5 1, d = 1.173 Å, rel. 7

Crystal structure
```
data_Li2Fe3CoO8
_chemical_formula_sum 'Li8 Fe12 Co4 O32'
_cell_length_a 8.374
_cell_length_b 8.374
_cell_length_c 8.374
_cell_angle_alpha 90.00
_cell_angle_beta 90.00
_cell_angle_gamma 90.00
_symmetry_space_group_name_H-M 'P 41 3 2'
_symmetry_Int_Tables_number 213
_symmetry_space_group_name_Hall 'P 4bd 2ab 3'
loop_
_atom_site_label
_atom_site_type_symbol
_atom_site_fract_x
_atom_site_fract_y
_atom_site_fract_z
Li1 Li 0.002 0.498 0.502
Fe1 Fe 0.123 0.875 0.627
Co1 Co 0.125 0.625 0.875
O1 O 0.103 0.116 0.619
O2 O 0.113 0.887 0.387
```



4.
Diffraction record for MgCr2Fe2O6. The powder diffractogram is calculated, not measured: it uses a GGA+U-relaxed structure and a wavelength of 1.5418 Å.
Peak positions follow from Bragg's law for the DFT cell and can differ from measured ones.

Principal peaks in the range 2θ from 10° to 90°, in order of rising 2θ:
hkl 0 1 2, d = 3.857 Å, rel. 39; hkl 1 0 4, d = 2.891 Å, rel. 27; hkl 1 1 0, d = 2.588 Å, rel. 80; hkl 0 0 6, d = 2.523 Å, rel. 13; hkl 0 1 5, d = 2.509 Å, rel. 9; hkl 2 -1 3, d = 2.303 Å, rel. 19; hkl 0 2 4, d = 1.928 Å, rel. 10; hkl 2 -1 6, d = 1.806 Å, rel. 100; hkl 3 0 0, d = 1.494 Å, rel. 34; hkl 2 2 0, d = 1.294 Å, rel. 8; hkl 3 0 6, d = 1.286 Å, rel. 10; hkl 2 2 6, d = 1.151 Å, rel. 19

Crystal structure
```
data_MgCr2Fe2O6
_chemical_formula_sum 'Mg3 Cr6 Fe6 O18'
_cell_length_a 5.1759
_cell_length_b 5.1759
_cell_length_c 15.1361
_cell_angle_alpha 90.00
_cell_angle_beta 90.00
_cell_angle_gamma 120.00
_symmetry_space_group_name_H-M 'R -3'
_symmetry_Int_Tables_number 148
_symmetry_space_group_name_Hall '-R 3'
loop_
_atom_site_label
_atom_site_type_symbol
_atom_site_fract_x
_atom_site_fract_y
_atom_site_fract_z
Mg1 Mg 0.0000 0.0000 0.0000
Cr1 Cr 0.0000 0.0000 0.3447
Fe1 Fe 0.0000 0.0000 0.1688
O1 O 0.0073 0.3210 0.7412
```



5.
Diffraction record for Li9Mn2Co5O16. The powder diffractogram is calculated, not measured: it uses a GGA+U-relaxed structure and a wavelength of 1.5418 Å.
Peak positions follow from Bragg's law for the DFT cell and can differ from measured ones.

Principal peaks in the range 2θ from 10° to 90°, in order of rising 2θ:
hkl 0 0 2, d = 4.834 Å, rel. 100; hkl 1 -2 1, d = 2.623 Å, rel. 20; hkl 1 2 -2, d = 2.477 Å, rel. 12; hkl 0 4 -1, d = 2.436 Å, rel. 11; hkl 1 -2 3, d = 2.198 Å, rel. 35; hkl 1 2 -4, d = 2.053 Å, rel. 27; hkl 0 4 1, d = 2.013 Å, rel. 25; hkl 2 0 -1, d = 1.506 Å, rel. 9; hkl 0 4 -7, d = 1.495 Å, rel. 8; hkl 1 2 4, d = 1.485 Å, rel. 16; hkl -1 2 5, d = 1.452 Å, rel. 7; hkl 1 6 -3, d = 1.423 Å, rel. 7

Crystal structure
```
data_Li9Mn2Co5O16
_chemical_formula_sum 'Li9 Mn2 Co5 O16'
_cell_length_a 3.019
_cell_length_b 9.976
_cell_length_c 10.719
_cell_angle_alpha 114.84
_cell_angle_beta 94.42
_cell_angle_gamma 92.99
_symmetry_space_group_name_H-M 'P 1'
_symmetry_Int_Tables_number 1
_symmetry_space_group_name_Hall 'P 1'
loop_
_atom_site_label
_atom_site_type_symbol
_atom_site_fract_x
_atom_site_fract_y
_atom_site_fract_z
Li1 Li 0.000 0.000 0.000
Li2 Li 0.000 0.496 0.994
Li3 Li 0.243 0.367 0.485
Li4 Li 0.243 0.871 0.491
Li5 Li 0.494 0.751 0.998
Li6 Li 0.502 0.254 0.000
Li7 Li 0.621 0.185 0.243
Li8 Li 0.738 0.120 0.491
Li9 Li 0.746 0.622 0.493
Mn1 Mn 0.870 0.560 0.743
Mn2 Mn 0.871 0.060 0.745
Co1 Co 0.120 0.944 0.243
Co2 Co 0.121 0.427 0.246
Co3 Co 0.370 0.310 0.743
Co4 Co 0.372 0.811 0.745
Co5 Co 0.621 0.685 0.244
O1 O 0.058 0.240 0.128
O2 O 0.075 0.731 0.133
O3 O 0.164 0.640 0.354
O4 O 0.181 0.131 0.359
O5 O 0.288 0.100 0.629
O6 O 0.289 0.601 0.629
O7 O 0.454 0.022 0.861
O8 O 0.455 0.520 0.859
O9 O 0.535 0.477 0.130
O10 O 0.548 0.964 0.129
O11 O 0.693 0.406 0.359
O12 O 0.707 0.893 0.358
O13 O 0.781 0.346 0.628
O14 O 0.781 0.847 0.629
O15 O 0.956 0.774 0.857
O16 O 0.957 0.275 0.857
```



6.
Diffraction record for Ti3Mn2Co3O16. The powder diffractogram is calculated, not measured: it uses a GGA+U-relaxed structure and a wavelength of 1.5418 Å.
Peak positions follow from Bragg's law for the DFT cell and can differ from measured ones.

Principal peaks in the range 2θ from 10° to 90°, in order of rising 2θ:
hkl 0 0 2, d = 4.447 Å, rel. 97; hkl 2 0 -1, d = 4.397 Å, rel. 100; hkl 1 1 1, d = 4.354 Å, rel. 57; hkl 2 0 -2, d = 3.354 Å, rel. 37; hkl 2 0 3, d = 2.516 Å, rel. 26; hkl 0 2 2, d = 2.440 Å, rel. 50; hkl 4 0 -1, d = 2.412 Å, rel. 39; hkl 3 1 2, d = 2.395 Å, rel. 27; hkl 2 2 -2, d = 2.201 Å, rel. 27; hkl 2 2 -3, d = 1.930 Å, rel. 44; hkl 2 2 3, d = 1.906 Å, rel. 32; hkl 6 2 0, d = 1.441 Å, rel. 39

Crystal structure
```
data_Ti3Mn2Co3O16
_chemical_formula_sum 'Ti6 Mn4 Co6 O32'
_cell_length_a 9.954
_cell_length_b 5.828
_cell_length_c 8.898
_cell_angle_alpha 90.00
_cell_angle_beta 91.42
_cell_angle_gamma 90.00
_symmetry_space_group_name_H-M 'C 1 m 1'
_symmetry_Int_Tables_number 8
_symmetry_space_group_name_Hall 'C -2y'
loop_
_atom_site_label
_atom_site_type_symbol
_atom_site_fract_x
_atom_site_fract_y
_atom_site_fract_z
Ti1 Ti 0.000 0.000 0.000
Ti2 Ti 0.419 0.252 0.501
Mn1 Mn 0.010 0.500 0.222
Mn2 Mn 0.177 0.000 0.728
Co1 Co 0.171 0.500 0.494
Co2 Co 0.256 0.252 0.000
O1 O 0.016 0.000 0.603
O2 O 0.018 0.500 0.607
O3 O 0.088 0.288 0.364
O4 O 0.106 0.219 0.867
O5 O 0.180 0.500 0.101
O6 O 0.183 0.000 0.104
O7 O 0.259 0.244 0.607
O8 O 0.321 0.000 0.876
O9 O 0.332 0.500 0.890
O10 O 0.336 0.500 0.389
O11 O 0.366 0.000 0.361
O12 O 0.427 0.246 0.103
```



7.
Diffraction record for CrCo3P4O16. The powder diffractogram is calculated, not measured: it uses a GGA+U-relaxed structure and a wavelength of 1.5418 Å.
Peak positions follow from Bragg's law for the DFT cell and can differ from measured ones.

Principal peaks in the range 2θ from 10° to 90°, in order of rising 2θ:
hkl 0 0 2, d = 4.941 Å, rel. 95; hkl 1 0 -1, d = 4.331 Å, rel. 59; hkl 1 0 1, d = 4.279 Å, rel. 57; hkl 0 1 2, d = 3.771 Å, rel. 27; hkl 1 1 -1, d = 3.478 Å, rel. 62; hkl 1 1 1, d = 3.452 Å, rel. 74; hkl 0 2 0, d = 2.917 Å, rel. 100; hkl 1 1 -3, d = 2.475 Å, rel. 69; hkl 1 1 3, d = 2.445 Å, rel. 64; hkl 2 2 0, d = 1.849 Å, rel. 26; hkl 0 1 6, d = 1.585 Å, rel. 38; hkl 0 2 6, d = 1.434 Å, rel. 20

Crystal structure
```
data_CrCo3P4O16
_chemical_formula_sum 'Cr1 Co3 P4 O16'
_cell_length_a 4.783
_cell_length_b 5.834
_cell_length_c 9.883
_cell_angle_alpha 90.00
_cell_angle_beta 90.89
_cell_angle_gamma 90.00
_symmetry_space_group_name_H-M 'P 1 m 1'
_symmetry_Int_Tables_number 6
_symmetry_space_group_name_Hall 'P -2y'
loop_
_atom_site_label
_atom_site_type_symbol
_atom_site_fract_x
_atom_site_fract_y
_atom_site_fract_z
Cr1 Cr 0.000 0.000 0.000
Co1 Co 0.086 0.500 0.550
Co2 Co 0.504 0.500 0.042
Co3 Co 0.585 0.000 0.491
P1 P 0.123 0.000 0.677
P2 P 0.443 0.000 0.176
P3 P 0.615 0.500 0.365
P4 P 0.943 0.500 0.866
O1 O 0.206 0.000 0.826
O2 O 0.262 0.500 0.890
O3 O 0.267 0.207 0.601
O4 O 0.289 0.204 0.101
O5 O 0.299 0.500 0.384
O6 O 0.369 0.000 0.326
O7 O 0.685 0.500 0.213
O8 O 0.757 0.000 0.158
O9 O 0.766 0.295 0.440
O10 O 0.798 0.294 0.941
O11 O 0.805 0.000 0.657
O12 O 0.869 0.500 0.715
```



8.
Diffraction record for VCrO3. The powder diffractogram is calculated, not measured: it uses a GGA+U-relaxed structure and a wavelength of 1.5418 Å.
Peak positions follow from Bragg's law for the DFT cell and can differ from measured ones.

Principal peaks in the range 2θ from 10° to 90°, in order of rising 2θ:
hkl 0 1 2, d = 3.733 Å, rel. 59; hkl 1 0 4, d = 2.743 Å, rel. 100; hkl 1 1 0, d = 2.547 Å, rel. 85; hkl 1 1 3, d = 2.236 Å, rel. 29; hkl 0 2 4, d = 1.867 Å, rel. 41; hkl 1 1 6, d = 1.721 Å, rel. 84; hkl 2 1 4, d = 1.506 Å, rel. 34; hkl 3 0 0, d = 1.470 Å, rel. 41; hkl 1 0 10, d = 1.335 Å, rel. 17; hkl 2 2 0, d = 1.273 Å, rel. 9; hkl 1 3 4, d = 1.155 Å, rel. 9; hkl 2 2 6, d = 1.118 Å, rel. 16

Crystal structure
```
data_VCrO3
_chemical_formula_sum 'V6 Cr6 O18'
_cell_length_a 5.0939
_cell_length_b 5.0939
_cell_length_c 14.0125
_cell_angle_alpha 90.00
_cell_angle_beta 90.00
_cell_angle_gamma 120.00
_symmetry_space_group_name_H-M 'R 3 c'
_symmetry_Int_Tables_number 161
_symmetry_space_group_name_Hall 'R 3 -2"c'
loop_
_atom_site_label
_atom_site_type_symbol
_atom_site_fract_x
_atom_site_fract_y
_atom_site_fract_z
V1 V 0.0000 0.0000 0.0000
Cr1 Cr 0.0000 0.0000 0.1987
O1 O 0.0313 0.3599 0.2679
```



9.
Diffraction record for Li3FeP2O8. The powder diffractogram is calculated, not measured: it uses a GGA+U-relaxed structure and a wavelength of 1.5418 Å.
Peak positions follow from Bragg's law for the DFT cell and can differ from measured ones.

Principal peaks in the range 2θ from 10° to 90°, in order of rising 2θ:
hkl 0 0 1, d = 6.273 Å, rel. 60; hkl 1 1 1, d = 3.673 Å, rel. 100; hkl 2 0 -1, d = 3.454 Å, rel. 59; hkl 0 2 0, d = 2.728 Å, rel. 31; hkl 1 1 -2, d = 2.588 Å, rel. 36; hkl 1 1 2, d = 2.576 Å, rel. 37; hkl 3 1 0, d = 2.450 Å, rel. 33; hkl 2 2 0, d = 2.274 Å, rel. 19; hkl 4 0 0, d = 2.058 Å, rel. 24; hkl 0 0 4, d = 1.568 Å, rel. 11; hkl 4 2 -2, d = 1.459 Å, rel. 16; hkl 4 2 2, d = 1.451 Å, rel. 18

Crystal structure
```
data_Li3FeP2O8
_chemical_formula_sum 'Li6 Fe2 P4 O16'
_cell_length_a 8.227
_cell_length_b 5.456
_cell_length_c 6.273
_cell_angle_alpha 90.00
_cell_angle_beta 90.51
_cell_angle_gamma 90.00
_symmetry_space_group_name_H-M 'C 1 2/m 1'
_symmetry_Int_Tables_number 12
_symmetry_space_group_name_Hall '-C 2y'
loop_
_atom_site_label
_atom_site_type_symbol
_atom_site_fract_x
_atom_site_fract_y
_atom_site_fract_z
Li1 Li 0.000 0.000 0.000
Li2 Li 0.174 0.500 0.229
Fe1 Fe 0.000 0.000 0.500
P1 P 0.150 0.500 0.738
O1 O 0.033 0.271 0.731
O2 O 0.241 0.000 0.465
O3 O 0.246 0.000 0.062
```



10.
Diffraction record for SrEuYCrO6. The powder diffractogram is calculated, not measured: it uses a GGA+U-relaxed structure and a wavelength of 1.5418 Å.
Peak positions follow from Bragg's law for the DFT cell and can differ from measured ones.

Principal peaks in the range 2θ from 10° to 90°, in order of rising 2θ:
hkl 1 1 1, d = 4.732 Å, rel. 8; hkl 2 2 0, d = 2.898 Å, rel. 100; hkl 3 1 1, d = 2.471 Å, rel. 6; hkl 2 2 2, d = 2.366 Å, rel. 11; hkl 4 0 0, d = 2.049 Å, rel. 33; hkl 3 3 1, d = 1.880 Å, rel. 3; hkl 4 2 2, d = 1.673 Å, rel. 39; hkl 4 4 0, d = 1.449 Å, rel. 20; hkl 6 2 0, d = 1.296 Å, rel. 17; hkl 6 2 2, d = 1.236 Å, rel. 3; hkl 4 4 4, d = 1.183 Å, rel. 6; hkl 6 4 2, d = 1.095 Å, rel. 21

Crystal structure
```
data_SrEuYCrO6
_chemical_formula_sum 'Sr4 Eu4 Y4 Cr4 O24'
_cell_length_a 8.197
_cell_length_b 8.197
_cell_length_c 8.197
_cell_angle_alpha 90.00
_cell_angle_beta 90.00
_cell_angle_gamma 90.00
_symmetry_space_group_name_H-M 'F -4 3 m'
_symmetry_Int_Tables_number 216
_symmetry_space_group_name_Hall 'F -4 2 3'
loop_
_atom_site_label
_atom_site_type_symbol
_atom_site_fract_x
_atom_site_fract_y
_atom_site_fract_z
Sr1 Sr 0.000 0.000 0.000
Eu1 Eu 0.000 0.000 0.500
Y1 Y 0.250 0.250 0.250
Cr1 Cr 0.250 0.250 0.750
O1 O 0.017 0.250 0.750
```